Starting from a DFT-relaxed cell (GGA+U, the Materials Project), the powder diffraction line list of Li4Mn3Fe2Sn3O16 was calculated for Cu Kα.

Main lines, low angle first (2θ from 10° to 80°):
2θ/deg	d/Å	Rel. int.
18.3	4.857	100.0
19.1	4.649	23.7
19.2	4.616	30.5
19.4	4.583	44.6
24.8	3.597	18.0
34.2	2.623	22.5
35.1	2.559	17.8
35.3	2.544	42.2
35.4	2.533	30.8
35.6	2.521	28.4
44.8	2.021	24.0
61.2	1.515	28.3

Structural model:
```
Li4Mn3Fe2Sn3O16
1.0
6.0536 0.0000 0.0000
3.0219 5.2515 0.0000
0.0711 0.1827 9.7143
Li Mn Fe Sn O
4 3 2 3 16
direct
0.0000 0.0000 0.0000
0.0046 0.9898 0.4908
0.3520 0.2923 0.5986
0.6876 0.6223 0.1085
0.1846 0.1375 0.2779
0.6758 0.1365 0.2781
0.8461 0.3051 0.7749
0.3543 0.2847 0.0044
0.6847 0.6294 0.4939
0.1850 0.6289 0.2786
0.3543 0.7954 0.7792
0.8481 0.7960 0.7801
0.0045 0.9904 0.1846
0.0123 0.9751 0.6748
0.0552 0.4327 0.1586
0.1694 0.1393 0.8898
0.1749 0.6485 0.9045
0.3352 0.8194 0.3916
0.3591 0.2777 0.3859
0.4959 0.0068 0.1640
0.5123 0.4309 0.1583
0.5343 0.9323 0.6495
0.5447 0.4728 0.6553
0.6869 0.6217 0.8975
0.6915 0.1395 0.8902
0.8434 0.8192 0.3914
0.8535 0.2954 0.3831
0.9807 0.4724 0.6565
```



Starting from a DFT-relaxed cell (GGA+U, the Materials Project), the powder diffraction line list of Rb2LiNd2W4O16 was calculated for Cu Kα.

Main lines, low angle first (2θ from 10° to 80°):
2θ/deg	d/Å	Rel. int.
13.3	6.664	16.9
15.6	5.672	20.3
26.8	3.332	100.0
28.6	3.126	99.6
31.4	2.851	32.0
31.5	2.836	28.5
33.2	2.697	22.0
33.6	2.668	16.6
45.1	2.011	24.3
46.5	1.954	18.8
48.6	1.874	27.6
55.1	1.665	21.6

Structural model:
```
Rb2LiNd2W4O16
1.0
5.4188 -5.6715 0.0000
5.4188 5.6715 0.0000
-4.8799 0.0000 5.7025
Rb Li Nd W O
2 1 2 4 16
direct
0.0000 0.0000 0.0000
0.5413 0.4587 0.5000
0.7797 0.2203 0.5000
0.0303 0.9697 0.5000
0.5580 0.4420 0.0000
0.0774 0.5222 0.5418
0.0948 0.5020 0.0394
0.4778 0.9226 0.4582
0.4980 0.9052 0.9606
0.0232 0.5660 0.7934
0.1416 0.4549 0.2943
0.1606 0.2769 0.8839
0.1608 0.7911 0.2692
0.2089 0.8392 0.7308
0.3671 0.5868 0.7767
0.4044 0.1440 0.6126
0.4132 0.6329 0.2233
0.4340 0.9768 0.2066
0.5451 0.8584 0.7057
0.5763 0.1789 0.0811
0.7231 0.8394 0.1161
0.7516 0.0041 0.5630
0.8211 0.4237 0.9189
0.8560 0.5956 0.3874
0.9959 0.2484 0.4370
```



Starting from a DFT-relaxed cell (GGA+U, the Materials Project), the powder diffraction line list of Li8Fe7O15 was calculated for Cu Kα.

Main lines, low angle first (2θ from 10° to 80°):
2θ/deg	d/Å	Rel. int.
22.7	3.910	100.0
23.6	3.763	51.9
25.4	3.510	19.1
30.3	2.946	42.4
37.2	2.414	42.8
42.4	2.131	75.9
42.6	2.122	75.2
44.8	2.025	77.2
61.6	1.505	19.9
61.8	1.502	21.5
63.4	1.468	38.0
63.5	1.465	40.8

Structural model:
```
Li8Fe7O15
1.0
7.6803 -2.0246 0.0000
7.6803 2.0246 0.0000
-1.7972 0.0000 8.8304
Li Fe O
8 7 15
direct
0.0934 0.0934 0.1993
0.0982 0.0982 0.5352
0.0987 0.0987 0.8627
0.2998 0.2998 0.2669
0.7002 0.7002 0.7331
0.9013 0.9013 0.1373
0.9018 0.9018 0.4648
0.9066 0.9066 0.8007
0.3001 0.3001 0.9318
0.3010 0.3010 0.6018
0.4939 0.4939 0.3340
0.5000 0.5000 0.0000
0.5061 0.5061 0.6660
0.6990 0.6990 0.3982
0.6999 0.6999 0.0682
0.0000 0.0000 0.0000
0.0037 0.0037 0.6690
0.2043 0.2043 0.0565
0.2040 0.2040 0.4130
0.2151 0.2151 0.7384
0.4023 0.4023 0.7998
0.4050 0.4050 0.1274
0.4064 0.4064 0.4781
0.5936 0.5936 0.5219
0.5950 0.5950 0.8726
0.5977 0.5977 0.2002
0.7849 0.7849 0.2616
0.7960 0.7960 0.5870
0.7957 0.7957 0.9435
0.9963 0.9963 0.3310
```